1.
Sr2GdTaCu2O8: theoretical XRD peak list (a wavelength of 1.5418 Å), based on a cell relaxed with GGA-PBE.
Intensities are scaled so that the largest is 100.

Top 10 peaks for 2θ = 5–70°, in order of rising 2θ:
5.862 Å, 15.11 deg, I 16
3.729 Å, 23.86 deg, I 29
2.782 Å, 32.18 deg, I 54
2.772 Å, 32.29 deg, I 100
2.348 Å, 38.34 deg, I 12
2.016 Å, 44.96 deg, I 16
1.967 Å, 46.15 deg, I 35
1.604 Å, 57.45 deg, I 39
1.599 Å, 57.65 deg, I 12
1.391 Å, 67.33 deg, I 10

Atomic structure:
```
data_Sr2GdTaCu2O8
_chemical_formula_sum 'Sr2 Gd1 Ta1 Cu2 O8'
_space_group_name_H-M_alt 'P 1'
_space_group_IT_number 1
_cell_length_a 3.934
_cell_length_b 3.934
_cell_length_c 11.724
_cell_angle_alpha 90.00
_cell_angle_beta 90.00
_cell_angle_gamma 90.00
loop_
_space_group_symop_operation_xyz
'x,y,z'
loop_
_atom_site_label
_atom_site_type_symbol
_atom_site_fract_x
_atom_site_fract_y
_atom_site_fract_z
Sr1 Sr 0.000 0.000 0.201
Sr2 Sr 0.000 0.000 0.799
Gd1 Gd 0.000 0.000 0.500
Ta1 Ta 0.500 0.500 0.000
Cu1 Cu 0.500 0.500 0.361
Cu2 Cu 0.500 0.500 0.639
O1 O 0.000 0.500 0.000
O2 O 0.000 0.500 0.373
O3 O 0.000 0.500 0.627
O4 O 0.500 0.000 0.000
O5 O 0.500 0.000 0.373
O6 O 0.500 0.000 0.627
O7 O 0.500 0.500 0.169
O8 O 0.500 0.500 0.831
```

***

2.
AcPaMn2Se8: theoretical XRD peak list (a wavelength of 1.5418 Å), based on a cell relaxed with GGA-PBE.
Intensities are scaled so that the largest is 100.

Top 10 peaks for 2θ = 5–70°, in order of rising 2θ:
6.116 Å, 14.48 deg, I 55
3.966 Å, 22.42 deg, I 100
2.969 Å, 30.10 deg, I 64
2.837 Å, 31.53 deg, I 35
2.549 Å, 35.20 deg, I 38
2.443 Å, 36.79 deg, I 44
2.401 Å, 37.45 deg, I 25
2.107 Å, 42.93 deg, I 30
2.054 Å, 44.09 deg, I 62
1.561 Å, 59.18 deg, I 25

Atomic structure:
```
data_AcPaMn2Se8
_chemical_formula_sum 'Ac1 Pa1 Mn2 Se8'
_space_group_name_H-M_alt 'P 1'
_space_group_IT_number 1
_cell_length_a 8.516
_cell_length_b 8.516
_cell_length_c 8.516
_cell_angle_alpha 133.00
_cell_angle_beta 133.00
_cell_angle_gamma 68.65
loop_
_space_group_symop_operation_xyz
'x,y,z'
loop_
_atom_site_label
_atom_site_type_symbol
_atom_site_fract_x
_atom_site_fract_y
_atom_site_fract_z
Ac1 Ac 0.000 0.000 0.000
Pa1 Pa 0.250 0.750 0.500
Mn1 Mn 0.500 0.500 0.000
Mn2 Mn 0.750 0.250 0.500
Se1 Se 0.293 0.700 0.156
Se2 Se 0.300 0.456 0.593
Se3 Se 0.403 0.023 0.054
Se4 Se 0.544 0.137 0.844
Se5 Se 0.651 0.597 0.620
Se6 Se 0.863 0.707 0.407
Se7 Se 0.969 0.349 0.946
Se8 Se 0.977 0.031 0.380
```

***

3.
La3TbPm5: theoretical XRD peak list (a wavelength of 1.5418 Å), based on a cell relaxed with GGA-PBE.
Intensities are scaled so that the largest is 100.

Top 10 peaks for 2θ = 5–70°, in order of rising 2θ:
12.683 Å, 6.97 deg, I 22
4.262 Å, 20.84 deg, I 43
3.260 Å, 27.36 deg, I 54
3.170 Å, 28.15 deg, I 48
3.027 Å, 29.51 deg, I 51
2.981 Å, 29.97 deg, I 100
2.928 Å, 30.53 deg, I 49
2.863 Å, 31.24 deg, I 37
2.533 Å, 35.44 deg, I 43
1.693 Å, 54.17 deg, I 22

Atomic structure:
```
data_La3TbPm5
_chemical_formula_sum 'La6 Tb2 Pm10'
_space_group_name_H-M_alt 'P 1'
_space_group_IT_number 1
_cell_length_a 7.508
_cell_length_b 7.508
_cell_length_c 12.970
_cell_angle_alpha 99.93
_cell_angle_beta 99.93
_cell_angle_gamma 69.17
loop_
_space_group_symop_operation_xyz
'x,y,z'
loop_
_atom_site_label
_atom_site_type_symbol
_atom_site_fract_x
_atom_site_fract_y
_atom_site_fract_z
La1 La 0.000 0.000 0.000
La2 La 0.000 0.000 0.500
La3 La 0.271 0.271 0.534
La4 La 0.397 0.397 0.788
La5 La 0.603 0.603 0.212
La6 La 0.729 0.729 0.466
Tb1 Tb 0.137 0.137 0.264
Tb2 Tb 0.863 0.863 0.736
Pm1 Pm 0.054 0.670 0.224
Pm2 Pm 0.263 0.263 0.032
Pm3 Pm 0.316 0.684 0.000
Pm4 Pm 0.330 0.946 0.776
Pm5 Pm 0.439 0.439 0.377
Pm6 Pm 0.561 0.561 0.623
Pm7 Pm 0.670 0.054 0.224
Pm8 Pm 0.684 0.316 0.000
Pm9 Pm 0.737 0.737 0.968
Pm10 Pm 0.946 0.330 0.776
```

***

4.
TbCd6: theoretical XRD peak list (a wavelength of 1.5418 Å), based on a cell relaxed with GGA-PBE.
Intensities are scaled so that the largest is 100.

Top 10 peaks for 2θ = 5–70°, in order of rising 2θ:
3.136 Å, 28.46 deg, I 27
3.059 Å, 29.19 deg, I 17
2.884 Å, 31.01 deg, I 100
2.605 Å, 34.42 deg, I 49
2.492 Å, 36.04 deg, I 69
2.338 Å, 38.50 deg, I 56
2.156 Å, 41.91 deg, I 18
2.148 Å, 42.06 deg, I 30
1.772 Å, 51.57 deg, I 17
1.473 Å, 63.11 deg, I 33

Atomic structure:
```
data_TbCd6
_chemical_formula_sum 'Tb2 Cd12'
_space_group_name_H-M_alt 'P 1'
_space_group_IT_number 1
_cell_length_a 6.076
_cell_length_b 6.076
_cell_length_c 9.178
_cell_angle_alpha 90.00
_cell_angle_beta 90.00
_cell_angle_gamma 90.00
loop_
_space_group_symop_operation_xyz
'x,y,z'
loop_
_atom_site_label
_atom_site_type_symbol
_atom_site_fract_x
_atom_site_fract_y
_atom_site_fract_z
Tb1 Tb 0.250 0.750 0.000
Tb2 Tb 0.750 0.250 0.000
Cd1 Cd 0.076 0.576 0.358
Cd2 Cd 0.076 0.924 0.642
Cd3 Cd 0.250 0.250 0.151
Cd4 Cd 0.250 0.250 0.849
Cd5 Cd 0.424 0.576 0.642
Cd6 Cd 0.424 0.924 0.358
Cd7 Cd 0.576 0.076 0.642
Cd8 Cd 0.576 0.424 0.358
Cd9 Cd 0.750 0.750 0.151
Cd10 Cd 0.750 0.750 0.849
Cd11 Cd 0.924 0.076 0.358
Cd12 Cd 0.924 0.424 0.642
```

***

Copy entry 1 word for word.
Sr2GdTaCu2O8: theoretical XRD peak list (a wavelength of 1.5418 Å), based on a cell relaxed with GGA-PBE.
Intensities are scaled so that the largest is 100.

Top 10 peaks for 2θ = 5–70°, in order of rising 2θ:
5.862 Å, 15.11 deg, I 16
3.729 Å, 23.86 deg, I 29
2.782 Å, 32.18 deg, I 54
2.772 Å, 32.29 deg, I 100
2.348 Å, 38.34 deg, I 12
2.016 Å, 44.96 deg, I 16
1.967 Å, 46.15 deg, I 35
1.604 Å, 57.45 deg, I 39
1.599 Å, 57.65 deg, I 12
1.391 Å, 67.33 deg, I 10

Atomic structure:
```
data_Sr2GdTaCu2O8
_chemical_formula_sum 'Sr2 Gd1 Ta1 Cu2 O8'
_space_group_name_H-M_alt 'P 1'
_space_group_IT_number 1
_cell_length_a 3.934
_cell_length_b 3.934
_cell_length_c 11.724
_cell_angle_alpha 90.00
_cell_angle_beta 90.00
_cell_angle_gamma 90.00
loop_
_space_group_symop_operation_xyz
'x,y,z'
loop_
_atom_site_label
_atom_site_type_symbol
_atom_site_fract_x
_atom_site_fract_y
_atom_site_fract_z
Sr1 Sr 0.000 0.000 0.201
Sr2 Sr 0.000 0.000 0.799
Gd1 Gd 0.000 0.000 0.500
Ta1 Ta 0.500 0.500 0.000
Cu1 Cu 0.500 0.500 0.361
Cu2 Cu 0.500 0.500 0.639
O1 O 0.000 0.500 0.000
O2 O 0.000 0.500 0.373
O3 O 0.000 0.500 0.627
O4 O 0.500 0.000 0.000
O5 O 0.500 0.000 0.373
O6 O 0.500 0.000 0.627
O7 O 0.500 0.500 0.169
O8 O 0.500 0.500 0.831
```